Record 1
Li2TlAgF8: simulated powder diffractogram (copper Kα), based on a PBE-relaxed structure.

Most intense lines, 2θ from 10° to 90°, sorted by position:
hkl  d/Å  2θ (°)  Rel. int.
1 0 1  4.966  17.86  100
2 0 0  3.359  26.53  42
1 1 2  2.913  30.70  40
2 1 1  2.782  32.17  26
1 0 3  2.308  39.02  23
3 0 1  2.143  42.17  20
2 1 3  1.902  47.81  10
3 1 2  1.841  49.51  36
3 2 1  1.807  50.52  15
3 3 2  1.455  63.97  15

Structural model:
```
data_Li2TlAgF8
_chemical_formula_sum 'Li4 Tl2 Ag2 F16'
_symmetry_space_group_name_H-M 'I -4 m 2'
_symmetry_Int_Tables_number 119
_symmetry_space_group_name_Hall 'I -4 -2'
_cell_length_a 6.7184
_cell_length_b 6.7184
_cell_length_c 7.3733
_cell_angle_alpha 90.00
_cell_angle_beta 90.00
_cell_angle_gamma 90.00
loop_
_atom_site_label
_atom_site_fract_x
_atom_site_fract_y
_atom_site_fract_z
Li1 0.0000 0.0000 0.0000
Li2 0.0000 0.5000 0.2500
Tl1 0.0000 0.0000 0.5000
Ag1 0.0000 0.5000 0.7500
F1 0.0000 0.2024 0.7909
F2 0.0000 0.3078 0.4318
```

Record 2
LiTlAg2F6: simulated powder diffractogram (copper Kα), based on a PBE-relaxed structure.

Most intense lines, 2θ from 10° to 90°, sorted by position:
hkl  d/Å  2θ (°)  Rel. int.
0 1 1  4.821  18.40  83
1 0 -2  4.701  18.88  50
0 2 0  2.961  30.18  42
1 1 1  2.948  30.32  100
1 1 -3  2.911  30.72  96
2 0 -2  2.888  30.97  44
0 1 3  2.506  35.83  30
2 1 -1  2.489  36.09  35
2 2 -2  2.067  43.79  47
2 0 2  1.700  53.95  47

Structural model:
```
data_LiTlAg2F6
_chemical_formula_sum 'Li2 Tl2 Ag4 F12'
_symmetry_space_group_name_H-M 'P 1 21/c 1'
_symmetry_Int_Tables_number 14
_cell_length_a 5.7760
_cell_length_b 5.9225
_cell_length_c 10.0286
_cell_angle_alpha 90.00
_cell_angle_beta 124.14
_cell_angle_gamma 90.00
loop_
_symmetry_equiv_pos_as_xyz
'x,y,z'
'-x,-y,-z'
'-x,y+1/2,-z+1/2'
'x,-y+1/2,z+1/2'
loop_
_atom_site_label
_atom_site_fract_x
_atom_site_fract_y
_atom_site_fract_z
Li1 0.0000 0.0000 0.0000
Tl1 0.5000 0.0000 0.5000
Ag1 0.2323 0.0566 0.7494
F1 0.1441 0.2113 0.4490
F2 0.2303 0.7005 0.4398
F3 0.3498 0.0331 0.2425
```

Which formula does entry 2 have? LiTlAg2F6